Structure and calculated powder X-ray diffraction pattern of Ti5VN3 (a PBE-relaxed structure; Cu Kα (λ = 1.5418 Å)).
Intensities are scaled so that the largest is 100.

Structure:
```
data_Ti5VN3
_chemical_formula_sum 'Ti20 V4 N12'
_space_group_name_H-M_alt 'C m m m'
_space_group_IT_number 65
_space_group_name_Hall '-C 2 2'
_cell_length_a 7.0060
_cell_length_b 20.6697
_cell_length_c 3.0145
_cell_angle_alpha 90.00
_cell_angle_beta 90.00
_cell_angle_gamma 90.00
loop_
_atom_site_label
_atom_site_type_symbol
_atom_site_fract_x
_atom_site_fract_y
_atom_site_fract_z
Ti1 Ti 0.0000 0.0679 0.0000
Ti2 Ti 0.0000 0.2669 0.0000
Ti3 Ti 0.2032 0.5000 0.5000
Ti4 Ti 0.2055 0.1650 0.5000
V1 V 0.0000 0.4024 0.0000
N1 N 0.0000 0.0000 0.5000
N2 N 0.0000 0.1672 0.0000
N3 N 0.0000 0.3361 0.5000
N4 N 0.0000 0.5000 0.0000
```

The 6 most intense peaks (2θ from 5° to 70°), low angle first:
2θ (°)	intensity
36.58	72
39.44	100
39.73	96
40.80	28
41.37	28
64.79	36